SnH6C4S2N2: calculated XRD peak list (copper Kα), based on a structure optimized by DFT (GGA-PBE).

Largest 8 diffraction maxima, in order of rising 2θ, 15 to 90 degrees two-theta:
hkl  2θ/deg  intensity
1 1 1  20.6  1000
2 0 0  21.5  739
0 2 1  22.9  992
2 2 1  31.6  614
1 3 1  31.8  321
0 4 0  34.1  357
3 1 1  37.2  414
4 2 1  50.0  211

Cell and atoms:
```
data_SnH6C4S2N2
_chemical_formula_sum 'Sn2 H12 C8 S4 N4'
_symmetry_space_group_name_H-M 'P m m n'
_symmetry_Int_Tables_number 59
_cell_length_a 8.258
_cell_length_b 10.522
_cell_length_c 5.753
_cell_angle_alpha 90.00
_cell_angle_beta 90.00
_cell_angle_gamma 90.00
loop_
_symmetry_equiv_pos_as_xyz
'x,y,z'
'-x,-y,-z'
'-x+1/2,-y+1/2,z'
'x+1/2,y+1/2,-z'
'x+1/2,-y,-z'
'-x+1/2,y,z'
'-x,y+1/2,-z'
'x,-y+1/2,z'
loop_
_atom_site_label
_atom_site_fract_x
_atom_site_fract_y
_atom_site_fract_z
Sn1 0.250 0.250 0.038
H1 0.001 0.750 0.656
H2 0.051 0.664 0.916
C1 0.005 0.250 0.155
C2 0.250 0.053 0.597
S1 0.250 0.520 0.352
N1 0.250 0.105 0.780
```


In3Pb3N5: calculated XRD peak list (copper Kα), based on a structure optimized by DFT (GGA-PBE).

Largest 8 diffraction maxima, in order of rising 2θ, 15 to 90 degrees two-theta:
hkl  2θ/deg  intensity
-1 1 2  25.3  436
2 0 0  28.4  397
0 2 -1  30.0  745
1 0 3  30.7  1000
1 2 2  30.9  710
1 0 -3  31.7  420
-1 2 2  32.8  349
2 -1 1  33.9  273

Cell and atoms:
```
data_In3Pb3N5
_chemical_formula_sum 'In6 Pb6 N10'
_symmetry_space_group_name_H-M 'P -1'
_symmetry_Int_Tables_number 2
_cell_length_a 6.313
_cell_length_b 6.965
_cell_length_c 9.964
_cell_angle_alpha 76.27
_cell_angle_beta 86.86
_cell_angle_gamma 86.41
loop_
_symmetry_equiv_pos_as_xyz
'x,y,z'
'-x,-y,-z'
loop_
_atom_site_label
_atom_site_fract_x
_atom_site_fract_y
_atom_site_fract_z
In1 0.137 0.192 0.444
In2 0.153 0.415 0.751
In3 0.284 0.539 0.086
Pb1 0.217 0.079 0.071
Pb2 0.271 0.856 0.761
Pb3 0.356 0.689 0.392
N1 0.042 0.784 0.096
N2 0.079 0.312 0.224
N3 0.213 0.878 0.532
N4 0.279 0.386 0.551
N5 0.381 0.526 0.868
```


PuCr2Si2: calculated XRD peak list (copper Kα), based on a structure optimized by DFT (GGA-PBE).

Largest 8 diffraction maxima, in order of rising 2θ, 15 to 90 degrees two-theta:
hkl  2θ/deg  intensity
0 0 2  16.1  285
1 0 1  25.5  794
0 0 4  32.5  259
1 0 3  34.4  895
1 1 2  38.2  1000
1 0 5  48.1  378
2 0 0  49.4  300
2 1 3  61.6  277

Cell and atoms:
```
data_PuCr2Si2
_chemical_formula_sum 'Pu2 Cr4 Si4'
_symmetry_space_group_name_H-M 'I 4/m m m'
_symmetry_Int_Tables_number 139
_symmetry_space_group_name_Hall '-I 4 2'
_cell_length_a 3.689
_cell_length_b 3.689
_cell_length_c 11.016
_cell_angle_alpha 90.00
_cell_angle_beta 90.00
_cell_angle_gamma 90.00
loop_
_atom_site_label
_atom_site_fract_x
_atom_site_fract_y
_atom_site_fract_z
Pu1 0.000 0.000 0.000
Cr1 0.000 0.500 0.250
Si1 0.000 0.000 0.391
```


Copy entry 1 word for word.
SnH6C4S2N2: calculated XRD peak list (copper Kα), based on a structure optimized by DFT (GGA-PBE).

Largest 8 diffraction maxima, in order of rising 2θ, 15 to 90 degrees two-theta:
hkl  2θ/deg  intensity
1 1 1  20.6  1000
2 0 0  21.5  739
0 2 1  22.9  992
2 2 1  31.6  614
1 3 1  31.8  321
0 4 0  34.1  357
3 1 1  37.2  414
4 2 1  50.0  211

Cell and atoms:
```
data_SnH6C4S2N2
_chemical_formula_sum 'Sn2 H12 C8 S4 N4'
_symmetry_space_group_name_H-M 'P m m n'
_symmetry_Int_Tables_number 59
_cell_length_a 8.258
_cell_length_b 10.522
_cell_length_c 5.753
_cell_angle_alpha 90.00
_cell_angle_beta 90.00
_cell_angle_gamma 90.00
loop_
_symmetry_equiv_pos_as_xyz
'x,y,z'
'-x,-y,-z'
'-x+1/2,-y+1/2,z'
'x+1/2,y+1/2,-z'
'x+1/2,-y,-z'
'-x+1/2,y,z'
'-x,y+1/2,-z'
'x,-y+1/2,z'
loop_
_atom_site_label
_atom_site_fract_x
_atom_site_fract_y
_atom_site_fract_z
Sn1 0.250 0.250 0.038
H1 0.001 0.750 0.656
H2 0.051 0.664 0.916
C1 0.005 0.250 0.155
C2 0.250 0.053 0.597
S1 0.250 0.520 0.352
N1 0.250 0.105 0.780
```